This entry pairs a crystal structure of V3OF11 with its computed powder diffraction line list. Radiation: Cu Kα, 1.54184 Å. Structure: a cell relaxed with PBE+U.
Lines closer than 0.1° are merged.

Main lines, sorted by position (10 to 80 degrees two-theta):
| 2θ (°) | Rel. int. | h k l |
| --- | --- | --- |
| 17.64 | 100.0 | 0 0 3 |
| 25.24 | 76.5 | 1 1 2 |
| 25.82 | 77.2 | 1 -1 1 |
| 33.54 | 13.7 | 0 2 1 |
| 35.72 | 12.6 | 0 0 6 |
| 39.85 | 12.2 | 1 0 -6 |
| 51.77 | 12.6 | 1 -1 7 |
| 54.77 | 11.7 | 0 0 9 |

a b c (Å): 5.1825 5.3462 15.3094
angles (deg): 80.18 89.87 88.56
Sites, in units of the cell vectors:
V 0.0000 0.0000 0.0000
V 0.0024 0.3330 0.3334
V 0.4977 0.1674 0.6664
V 0.5000 0.5000 0.0000
V 0.5023 0.8326 0.3336
V 0.9976 0.6670 0.6666
O 0.2498 0.7537 0.9919
O 0.7502 0.2463 0.0081
F 0.0827 0.9890 0.1135
F 0.0922 0.5741 0.7783
F 0.0981 0.2444 0.4452
F 0.1860 0.3748 0.6350
F 0.1899 0.0399 0.3027
F 0.2501 0.2667 0.9653
F 0.3086 0.8712 0.6435
F 0.3135 0.5366 0.3102
F 0.4000 0.1067 0.7783
F 0.4027 0.7688 0.4454
F 0.4190 0.4003 0.1136
F 0.5810 0.5997 0.8864
F 0.5973 0.2312 0.5546
F 0.6000 0.8933 0.2217
F 0.6865 0.4634 0.6898
F 0.6914 0.1288 0.3565
F 0.7499 0.7333 0.0347
F 0.8101 0.9601 0.6973
F 0.8140 0.6252 0.3650
F 0.9019 0.7556 0.5548
F 0.9078 0.4259 0.2217
F 0.9173 0.0110 0.8865